Record 1
Starting from a cell relaxed with GGA-PBE, the X-ray powder pattern of Ba4AgIr3 was computed for CuKα.
Neutral-atom scattering factors, no anomalous dispersion.

Principal peaks in the range 15° ≤ 2θ ≤ 90°, low angle first:
Position (°2θ)  Rel. int.
27.96  100.0
29.94  68.1
34.07  64.8
35.85  70.6
36.48  79.8
39.13  72.9

Structural model:
```
data_Ba4AgIr3
_chemical_formula_sum 'Ba4 Ag1 Ir3'
_cell_length_a 6.261
_cell_length_b 4.604
_cell_length_c 8.861
_cell_angle_alpha 90.00
_cell_angle_beta 92.15
_cell_angle_gamma 90.00
_symmetry_space_group_name_H-M 'P 1'
_symmetry_Int_Tables_number 1
loop_
_symmetry_equiv_pos_as_xyz
'x,y,z'
loop_
_atom_site_label
_atom_site_fract_x
_atom_site_fract_y
_atom_site_fract_z
Ba1 0.000 0.000 0.000
Ba2 0.207 0.500 0.368
Ba3 0.509 0.500 0.875
Ba4 0.730 0.000 0.525
Ag1 0.226 0.000 0.662
Ir1 0.549 0.000 0.178
Ir2 0.665 0.500 0.220
Ir3 0.996 0.500 0.731
```

---

Record 2
Starting from a cell relaxed with GGA-PBE, the X-ray powder pattern of BaLaAg2 was computed for CuKα.
Neutral-atom scattering factors, no anomalous dispersion.

Principal peaks in the range 15° ≤ 2θ ≤ 90°, low angle first:
Position (°2θ)  Rel. int.
25.33  36.5
28.44  72.5
30.97  57.8
31.97  100.0
35.55  57.6
35.83  94.9

Structural model:
```
data_BaLaAg2
_chemical_formula_sum 'Ba2 La2 Ag4'
_cell_length_a 5.051
_cell_length_b 8.011
_cell_length_c 6.190
_cell_angle_alpha 90.00
_cell_angle_beta 90.00
_cell_angle_gamma 90.00
_symmetry_space_group_name_H-M 'P 1'
_symmetry_Int_Tables_number 1
loop_
_symmetry_equiv_pos_as_xyz
'x,y,z'
loop_
_atom_site_label
_atom_site_fract_x
_atom_site_fract_y
_atom_site_fract_z
Ba1 0.000 0.068 0.000
Ba2 0.500 0.932 0.500
La1 0.000 0.565 0.220
La2 0.500 0.435 0.720
Ag1 0.000 0.244 0.499
Ag2 0.000 0.683 0.726
Ag3 0.500 0.317 0.226
Ag4 0.500 0.756 0.999
```

---

Record 3
Starting from a cell relaxed with GGA-PBE, the X-ray powder pattern of Ba2LaTaAg2O8 was computed for CuKα.
Neutral-atom scattering factors, no anomalous dispersion.

Principal peaks in the range 15° ≤ 2θ ≤ 90°, low angle first:
Position (°2θ)  Rel. int.
26.13  11.7
30.58  56.9
31.02  100.0
43.80  33.5
54.64  40.4
55.46  11.8

Structural model:
```
data_Ba2LaTaAg2O8
_chemical_formula_sum 'Ba2 La1 Ta1 Ag2 O8'
_cell_length_a 4.134
_cell_length_b 4.134
_cell_length_c 12.066
_cell_angle_alpha 90.00
_cell_angle_beta 90.00
_cell_angle_gamma 90.00
_symmetry_space_group_name_H-M 'P 1'
_symmetry_Int_Tables_number 1
loop_
_symmetry_equiv_pos_as_xyz
'x,y,z'
loop_
_atom_site_label
_atom_site_fract_x
_atom_site_fract_y
_atom_site_fract_z
Ba1 0.000 0.000 0.191
Ba2 0.000 0.000 0.809
La1 0.000 0.000 0.500
Ta1 0.500 0.500 0.000
Ag1 0.500 0.500 0.366
Ag2 0.500 0.500 0.634
O1 0.000 0.500 0.000
O2 0.000 0.500 0.374
O3 0.000 0.500 0.626
O4 0.500 0.000 0.000
O5 0.500 0.000 0.374
O6 0.500 0.000 0.626
O7 0.500 0.500 0.161
O8 0.500 0.500 0.839
```

---

Record 4
Starting from a cell relaxed with GGA-PBE, the X-ray powder pattern of BaLaAgS3 was computed for CuKα.
Neutral-atom scattering factors, no anomalous dispersion.

Principal peaks in the range 15° ≤ 2θ ≤ 90°, low angle first:
Position (°2θ)  Rel. int.
25.54  41.3
26.04  59.8
29.57  100.0
30.44  33.4
42.96  59.7
47.52  16.3

Structural model:
```
data_BaLaAgS3
_chemical_formula_sum 'Ba2 La2 Ag2 S6'
_cell_length_a 9.316
_cell_length_b 9.316
_cell_length_c 8.672
_cell_angle_alpha 103.50
_cell_angle_beta 103.50
_cell_angle_gamma 26.12
_symmetry_space_group_name_H-M 'P 1'
_symmetry_Int_Tables_number 1
loop_
_symmetry_equiv_pos_as_xyz
'x,y,z'
loop_
_atom_site_label
_atom_site_fract_x
_atom_site_fract_y
_atom_site_fract_z
Ba1 0.133 0.133 0.069
Ba2 0.867 0.867 0.931
La1 0.163 0.163 0.586
La2 0.837 0.837 0.414
Ag1 0.483 0.483 0.293
Ag2 0.517 0.517 0.707
S1 0.000 0.000 0.500
S2 0.325 0.325 0.184
S3 0.328 0.328 0.639
S4 0.500 0.500 0.000
S5 0.672 0.672 0.361
S6 0.675 0.675 0.816
```

---

Record 5
Starting from a cell relaxed with GGA-PBE, the X-ray powder pattern of Ba2LiAgP2 was computed for CuKα.
Neutral-atom scattering factors, no anomalous dispersion.

Principal peaks in the range 15° ≤ 2θ ≤ 90°, low angle first:
Position (°2θ)  Rel. int.
22.71  29.8
30.49  100.0
39.88  34.8
51.01  22.8
58.37  22.1
66.64  20.4

Structural model:
```
data_Ba2LiAgP2
_chemical_formula_sum 'Ba2 Li1 Ag1 P2'
_cell_length_a 4.521
_cell_length_b 4.521
_cell_length_c 8.847
_cell_angle_alpha 90.00
_cell_angle_beta 90.00
_cell_angle_gamma 120.00
_symmetry_space_group_name_H-M 'P 1'
_symmetry_Int_Tables_number 1
loop_
_symmetry_equiv_pos_as_xyz
'x,y,z'
loop_
_atom_site_label
_atom_site_fract_x
_atom_site_fract_y
_atom_site_fract_z
Ba1 0.000 0.000 0.248
Ba2 0.000 0.000 0.752
Li1 0.333 0.667 0.000
Ag1 0.667 0.333 0.500
P1 0.333 0.667 0.500
P2 0.667 0.333 0.000
```

---

Record 6
Starting from a cell relaxed with GGA-PBE, the X-ray powder pattern of BaLuAgS3 was computed for CuKα.
Neutral-atom scattering factors, no anomalous dispersion.

Principal peaks in the range 15° ≤ 2θ ≤ 90°, low angle first:
Position (°2θ)  Rel. int.
24.03  44.3
25.50  63.7
30.99  65.9
31.50  100.0
36.70  55.8
44.40  46.7

Structural model:
```
data_BaLuAgS3
_chemical_formula_sum 'Ba2 Lu2 Ag2 S6'
_cell_length_a 8.270
_cell_length_b 4.081
_cell_length_c 9.217
_cell_angle_alpha 90.00
_cell_angle_beta 106.95
_cell_angle_gamma 90.00
_symmetry_space_group_name_H-M 'P 1'
_symmetry_Int_Tables_number 1
loop_
_symmetry_equiv_pos_as_xyz
'x,y,z'
loop_
_atom_site_label
_atom_site_fract_x
_atom_site_fract_y
_atom_site_fract_z
Ba1 0.215 0.250 0.251
Ba2 0.785 0.750 0.749
Lu1 0.322 0.750 0.844
Lu2 0.678 0.250 0.156
Ag1 0.097 0.250 0.593
Ag2 0.903 0.750 0.407
S1 0.109 0.250 0.870
S2 0.260 0.750 0.537
S3 0.454 0.750 0.147
S4 0.546 0.250 0.853
S5 0.740 0.250 0.463
S6 0.891 0.750 0.130
```

---

Record 7
Starting from a cell relaxed with GGA-PBE, the X-ray powder pattern of BaNaNbAgS4 was computed for CuKα.
Neutral-atom scattering factors, no anomalous dispersion.

Principal peaks in the range 15° ≤ 2θ ≤ 90°, low angle first:
Position (°2θ)  Rel. int.
16.57  23.1
24.99  33.6
28.27  100.0
35.62  42.7
46.09  54.5
51.94  22.3

Structural model:
```
data_BaNaNbAgS4
_chemical_formula_sum 'Ba2 Na2 Nb2 Ag2 S8'
_cell_length_a 10.075
_cell_length_b 8.099
_cell_length_c 7.126
_cell_angle_alpha 90.00
_cell_angle_beta 134.96
_cell_angle_gamma 90.00
_symmetry_space_group_name_H-M 'P 1'
_symmetry_Int_Tables_number 1
loop_
_symmetry_equiv_pos_as_xyz
'x,y,z'
loop_
_atom_site_label
_atom_site_fract_x
_atom_site_fract_y
_atom_site_fract_z
Ba1 0.000 0.000 0.000
Ba2 0.500 0.500 0.000
Na1 0.000 0.749 0.500
Na2 0.500 0.249 0.500
Nb1 0.000 0.500 0.000
Nb2 0.500 0.000 0.000
Ag1 0.000 0.251 0.500
Ag2 0.500 0.751 0.500
S1 0.184 0.337 0.385
S2 0.201 0.663 0.017
S3 0.299 0.163 0.983
S4 0.316 0.837 0.615
S5 0.684 0.837 0.385
S6 0.701 0.163 0.017
S7 0.799 0.663 0.983
S8 0.816 0.337 0.615
```

---

Record 8
Starting from a cell relaxed with GGA-PBE, the X-ray powder pattern of BaNaTcAgS4 was computed for CuKα.
Neutral-atom scattering factors, no anomalous dispersion.

Principal peaks in the range 15° ≤ 2θ ≤ 90°, low angle first:
Position (°2θ)  Rel. int.
16.84  23.8
25.12  37.5
28.86  100.0
35.81  36.6
46.63  55.4
53.30  22.3

Structural model:
```
data_BaNaTcAgS4
_chemical_formula_sum 'Ba2 Na2 Tc2 Ag2 S8'
_cell_length_a 10.028
_cell_length_b 7.861
_cell_length_c 7.091
_cell_angle_alpha 90.00
_cell_angle_beta 134.99
_cell_angle_gamma 90.00
_symmetry_space_group_name_H-M 'P 1'
_symmetry_Int_Tables_number 1
loop_
_symmetry_equiv_pos_as_xyz
'x,y,z'
loop_
_atom_site_label
_atom_site_fract_x
_atom_site_fract_y
_atom_site_fract_z
Ba1 0.000 0.000 0.000
Ba2 0.500 0.500 0.000
Na1 0.000 0.749 0.500
Na2 0.500 0.249 0.500
Tc1 0.000 0.500 0.000
Tc2 0.500 0.000 0.000
Ag1 0.000 0.251 0.500
Ag2 0.500 0.751 0.500
S1 0.175 0.342 0.373
S2 0.198 0.658 0.023
S3 0.302 0.158 0.977
S4 0.325 0.842 0.627
S5 0.675 0.842 0.373
S6 0.698 0.158 0.023
S7 0.802 0.658 0.977
S8 0.825 0.342 0.627
```

---

Record 9
Starting from a cell relaxed with GGA-PBE, the X-ray powder pattern of BaNaAgWS4 was computed for CuKα.
Neutral-atom scattering factors, no anomalous dispersion.

Principal peaks in the range 15° ≤ 2θ ≤ 90°, low angle first:
Position (°2θ)  Rel. int.
16.70  26.3
17.58  28.9
24.96  41.4
28.59  100.0
35.59  36.0
46.27  56.1

Structural model:
```
data_BaNaAgWS4
_chemical_formula_sum 'Ba2 Na2 Ag2 W2 S8'
_cell_length_a 10.086
_cell_length_b 7.949
_cell_length_c 7.134
_cell_angle_alpha 90.00
_cell_angle_beta 134.97
_cell_angle_gamma 90.00
_symmetry_space_group_name_H-M 'P 1'
_symmetry_Int_Tables_number 1
loop_
_symmetry_equiv_pos_as_xyz
'x,y,z'
loop_
_atom_site_label
_atom_site_fract_x
_atom_site_fract_y
_atom_site_fract_z
Ba1 0.000 0.000 0.000
Ba2 0.500 0.500 0.000
Na1 0.000 0.749 0.500
Na2 0.500 0.249 0.500
Ag1 0.000 0.251 0.500
Ag2 0.500 0.751 0.500
W1 0.000 0.500 0.000
W2 0.500 0.000 0.000
S1 0.180 0.342 0.379
S2 0.199 0.658 0.020
S3 0.301 0.158 0.980
S4 0.320 0.842 0.621
S5 0.680 0.842 0.379
S6 0.699 0.158 0.020
S7 0.801 0.658 0.980
S8 0.820 0.342 0.621
```

---

Record 10
Starting from a cell relaxed with GGA-PBE, the X-ray powder pattern of BaNbAg2SeS3 was computed for CuKα.
Neutral-atom scattering factors, no anomalous dispersion.

Principal peaks in the range 15° ≤ 2θ ≤ 90°, low angle first:
Position (°2θ)  Rel. int.
24.05  53.4
27.78  65.9
27.89  55.0
28.05  100.0
35.52  55.3
36.21  58.6

Structural model:
```
data_BaNbAg2SeS3
_chemical_formula_sum 'Ba1 Nb1 Ag2 Se1 S3'
_cell_length_a 6.478
_cell_length_b 6.480
_cell_length_c 6.539
_cell_angle_alpha 110.71
_cell_angle_beta 116.98
_cell_angle_gamma 100.45
_symmetry_space_group_name_H-M 'P 1'
_symmetry_Int_Tables_number 1
loop_
_symmetry_equiv_pos_as_xyz
'x,y,z'
loop_
_atom_site_label
_atom_site_fract_x
_atom_site_fract_y
_atom_site_fract_z
Ba1 0.000 0.000 0.000
Nb1 0.509 0.505 0.023
Ag1 0.179 0.693 0.503
Ag2 0.832 0.316 0.506
Se1 0.474 0.475 0.616
S1 0.139 0.520 0.997
S2 0.531 0.147 0.019
S3 0.862 0.864 0.390
```

---

Record 11
Starting from a cell relaxed with GGA-PBE, the X-ray powder pattern of BaNdAgTe2Se was computed for CuKα.
Neutral-atom scattering factors, no anomalous dispersion.

Principal peaks in the range 15° ≤ 2θ ≤ 90°, low angle first:
Position (°2θ)  Rel. int.
26.56  94.4
27.72  87.4
31.03  100.0
31.91  45.2
39.35  82.2
39.88  47.8

Structural model:
```
data_BaNdAgTe2Se
_chemical_formula_sum 'Ba2 Nd2 Ag2 Te4 Se2'
_cell_length_a 7.864
_cell_length_b 7.864
_cell_length_c 11.217
_cell_angle_alpha 90.00
_cell_angle_beta 90.00
_cell_angle_gamma 146.59
_symmetry_space_group_name_H-M 'P 1'
_symmetry_Int_Tables_number 1
loop_
_symmetry_equiv_pos_as_xyz
'x,y,z'
loop_
_atom_site_label
_atom_site_fract_x
_atom_site_fract_y
_atom_site_fract_z
Ba1 0.236 0.764 0.750
Ba2 0.764 0.236 0.250
Nd1 0.500 0.500 0.000
Nd2 0.500 0.500 0.500
Ag1 0.028 0.972 0.250
Ag2 0.972 0.028 0.750
Te1 0.145 0.855 0.056
Te2 0.145 0.855 0.444
Te3 0.855 0.145 0.556
Te4 0.855 0.145 0.944
Se1 0.426 0.574 0.250
Se2 0.574 0.426 0.750
```

---

Record 12
Starting from a cell relaxed with GGA-PBE, the X-ray powder pattern of BaNiAg2 was computed for CuKα.
Neutral-atom scattering factors, no anomalous dispersion.

Principal peaks in the range 15° ≤ 2θ ≤ 90°, low angle first:
Position (°2θ)  Rel. int.
21.32  3.4
35.17  100.0
50.59  17.1
63.11  34.3
74.35  10.5
85.00  15.0

Structural model:
```
data_BaNiAg2
_chemical_formula_sum 'Ba4 Ni4 Ag8'
_cell_length_a 7.217
_cell_length_b 7.217
_cell_length_c 7.217
_cell_angle_alpha 90.00
_cell_angle_beta 90.00
_cell_angle_gamma 90.00
_symmetry_space_group_name_H-M 'P 1'
_symmetry_Int_Tables_number 1
loop_
_symmetry_equiv_pos_as_xyz
'x,y,z'
loop_
_atom_site_label
_atom_site_fract_x
_atom_site_fract_y
_atom_site_fract_z
Ba1 0.000 0.000 0.000
Ba2 0.000 0.500 0.500
Ba3 0.500 0.000 0.500
Ba4 0.500 0.500 0.000
Ni1 0.250 0.250 0.750
Ni2 0.250 0.750 0.250
Ni3 0.750 0.250 0.250
Ni4 0.750 0.750 0.750
Ag1 0.000 0.000 0.500
Ag2 0.000 0.500 0.000
Ag3 0.250 0.250 0.250
Ag4 0.250 0.750 0.750
Ag5 0.500 0.000 0.000
Ag6 0.500 0.500 0.500
Ag7 0.750 0.250 0.750
Ag8 0.750 0.750 0.250
```

---

Record 13
Starting from a cell relaxed with GGA-PBE, the X-ray powder pattern of Ba2AgO4 was computed for CuKα.
Neutral-atom scattering factors, no anomalous dispersion.

Principal peaks in the range 15° ≤ 2θ ≤ 90°, low angle first:
Position (°2θ)  Rel. int.
24.43  21.4
28.72  100.0
30.03  24.7
45.74  34.9
50.06  43.4
70.13  22.9

Structural model:
```
data_Ba2AgO4
_chemical_formula_sum 'Ba4 Ag2 O8'
_cell_length_a 7.289
_cell_length_b 7.289
_cell_length_c 7.289
_cell_angle_alpha 60.00
_cell_angle_beta 60.00
_cell_angle_gamma 60.00
_symmetry_space_group_name_H-M 'P 1'
_symmetry_Int_Tables_number 1
loop_
_symmetry_equiv_pos_as_xyz
'x,y,z'
loop_
_atom_site_label
_atom_site_fract_x
_atom_site_fract_y
_atom_site_fract_z
Ba1 0.000 0.000 0.000
Ba2 0.000 0.000 0.500
Ba3 0.000 0.500 0.000
Ba4 0.500 0.000 0.000
Ag1 0.375 0.375 0.375
Ag2 0.625 0.625 0.625
O1 0.256 0.256 0.256
O2 0.256 0.256 0.733
O3 0.256 0.733 0.256
O4 0.267 0.744 0.744
O5 0.733 0.256 0.256
O6 0.744 0.267 0.744
O7 0.744 0.744 0.267
O8 0.744 0.744 0.744
```

---

Record 14
Starting from a cell relaxed with GGA-PBE, the X-ray powder pattern of BaAgSO was computed for CuKα.
Neutral-atom scattering factors, no anomalous dispersion.

Principal peaks in the range 15° ≤ 2θ ≤ 90°, low angle first:
Position (°2θ)  Rel. int.
24.55  21.9
26.18  31.2
27.87  100.0
32.98  29.6
36.19  30.8
39.29  28.0

Structural model:
```
data_BaAgSO
_chemical_formula_sum 'Ba4 Ag4 S4 O4'
_cell_length_a 3.748
_cell_length_b 14.499
_cell_length_c 6.807
_cell_angle_alpha 90.00
_cell_angle_beta 90.00
_cell_angle_gamma 90.00
_symmetry_space_group_name_H-M 'P 1'
_symmetry_Int_Tables_number 1
loop_
_symmetry_equiv_pos_as_xyz
'x,y,z'
loop_
_atom_site_label
_atom_site_fract_x
_atom_site_fract_y
_atom_site_fract_z
Ba1 0.000 0.089 0.000
Ba2 0.000 0.911 0.500
Ba3 0.500 0.411 0.500
Ba4 0.500 0.589 0.000
Ag1 0.000 0.332 0.894
Ag2 0.000 0.668 0.394
Ag3 0.500 0.168 0.394
Ag4 0.500 0.832 0.894
S1 0.000 0.274 0.279
S2 0.000 0.726 0.779
S3 0.500 0.226 0.779
S4 0.500 0.774 0.279
O1 0.000 0.072 0.374
O2 0.000 0.928 0.874
O3 0.500 0.428 0.874
O4 0.500 0.572 0.374
```